1.
# BaTl2Au9
Simulated X-ray diffraction stick pattern, Cu Kα. Input: a crystal structure in Alexandria, relaxed with GGA-PBE.
Kinematic intensities with the Lorentz-polarization factor, no thermal factor.

Largest 10 diffraction maxima, by intensity, 2θ from 10° to 90°:
- 36.51 deg, rel. 100
- 39.30 deg, rel. 38
- 35.83 deg, rel. 27
- 64.08 deg, rel. 27
- 38.92 deg, rel. 26
- 58.51 deg, rel. 26
- 77.58 deg, rel. 22
- 30.77 deg, rel. 21
- 17.91 deg, rel. 18
- 39.96 deg, rel. 17

Crystal structure
a b c (Å): 9.8450 9.8450 9.8450
angles (deg): 34.34 34.34 34.34
Atoms (fractional coordinates):
Ba 0.0000 0.0000 0.0000
Tl 0.1461 0.1461 0.1461
Tl 0.8539 0.8539 0.8539
Au 0.0817 0.5845 0.5845
Au 0.3329 0.3329 0.3329
Au 0.4155 0.4155 0.9183
Au 0.4155 0.9183 0.4155
Au 0.5000 0.5000 0.5000
Au 0.5845 0.0817 0.5845
Au 0.5845 0.5845 0.0817
Au 0.6671 0.6671 0.6671
Au 0.9183 0.4155 0.4155

***

2.
# LaPbClO2
Simulated X-ray diffraction stick pattern, Cu Kα. Input: a crystal structure in Alexandria, relaxed with GGA-PBE.
Kinematic intensities with the Lorentz-polarization factor, no thermal factor.

Largest 10 diffraction maxima, by intensity, 2θ from 10° to 90°:
- 25.32 deg, rel. 100
- 31.01 deg, rel. 96
- 13.26 deg, rel. 63
- 29.24 deg, rel. 58
- 29.12 deg, rel. 57
- 34.52 deg, rel. 48
- 53.44 deg, rel. 40
- 22.11 deg, rel. 38
- 50.45 deg, rel. 34
- 45.88 deg, rel. 29

Crystal structure
a b c (Å): 6.9924 4.1397 8.4337
angles (deg): 90.00 107.33 90.00
Atoms (fractional coordinates):
La 0.1669 0.2500 0.4080
La 0.8331 0.7500 0.5920
Pb 0.1798 0.2500 0.9277
Pb 0.8202 0.7500 0.0723
Cl 0.4458 0.7500 0.3064
Cl 0.5542 0.2500 0.6936
O 0.0006 0.7500 0.8772
O 0.0036 0.2500 0.6194
O 0.9964 0.7500 0.3806
O 0.9994 0.2500 0.1228

***

3.
# K2RbIrBr6
Simulated X-ray diffraction stick pattern, Cu Kα. Input: a crystal structure in Alexandria, relaxed with GGA-PBE.
Kinematic intensities with the Lorentz-polarization factor, no thermal factor.

Largest 10 diffraction maxima, by intensity, 2θ from 10° to 90°:
- 15.30 deg, rel. 100
- 12.36 deg, rel. 90
- 15.59 deg, rel. 66
- 31.90 deg, rel. 66
- 31.48 deg, rel. 47
- 30.89 deg, rel. 38
- 37.98 deg, rel. 36
- 35.17 deg, rel. 35
- 51.07 deg, rel. 29
- 50.13 deg, rel. 25

Crystal structure
a b c (Å): 7.4419 11.3693 9.2170
angles (deg): 90.00 90.00 90.00
Atoms (fractional coordinates):
K 0.2500 0.0552 0.1637
K 0.2500 0.4448 0.1637
K 0.7500 0.5552 0.8363
K 0.7500 0.9448 0.8363
Rb 0.2500 0.2500 0.6728
Rb 0.7500 0.7500 0.3272
Ir 0.2500 0.7500 0.8184
Ir 0.7500 0.2500 0.1816
Br 0.0078 0.7500 0.6278
Br 0.0158 0.7500 0.0165
Br 0.2500 0.5283 0.8176
Br 0.2500 0.9717 0.8176
Br 0.4842 0.7500 0.0165
Br 0.4922 0.7500 0.6278
Br 0.5078 0.2500 0.3722
Br 0.5158 0.2500 0.9835
Br 0.7500 0.0283 0.1824
Br 0.7500 0.4717 0.1824
Br 0.9842 0.2500 0.9835
Br 0.9922 0.2500 0.3722

***

4.
# TmSc5Hg4
Simulated X-ray diffraction stick pattern, Cu Kα. Input: a crystal structure in Alexandria, relaxed with GGA-PBE.
Kinematic intensities with the Lorentz-polarization factor, no thermal factor.

Largest 10 diffraction maxima, by intensity, 2θ from 10° to 90°:
- 34.96 deg, rel. 100
- 36.44 deg, rel. 51
- 25.54 deg, rel. 48
- 64.62 deg, rel. 33
- 23.47 deg, rel. 27
- 43.80 deg, rel. 23
- 52.48 deg, rel. 18
- 61.73 deg, rel. 12
- 59.25 deg, rel. 11
- 58.24 deg, rel. 10

Crystal structure
a b c (Å): 3.4874 3.4874 18.9514
angles (deg): 90.00 90.00 90.00
Atoms (fractional coordinates):
Tm 0.0000 0.0000 0.0000
Sc 0.5000 0.5000 0.1213
Sc 0.5000 0.5000 0.3122
Sc 0.5000 0.5000 0.5000
Sc 0.5000 0.5000 0.6878
Sc 0.5000 0.5000 0.8787
Hg 0.0000 0.0000 0.2156
Hg 0.0000 0.0000 0.4055
Hg 0.0000 0.0000 0.5945
Hg 0.0000 0.0000 0.7844

***

5.
# Ga4Ni5Pd
Simulated X-ray diffraction stick pattern, Cu Kα. Input: a crystal structure in Alexandria, relaxed with GGA-PBE.
Kinematic intensities with the Lorentz-polarization factor, no thermal factor.

Largest 10 diffraction maxima, by intensity, 2θ from 10° to 90°:
- 43.42 deg, rel. 100
- 43.79 deg, rel. 95
- 43.93 deg, rel. 94
- 79.84 deg, rel. 30
- 80.16 deg, rel. 29
- 80.92 deg, rel. 26
- 62.86 deg, rel. 16
- 63.32 deg, rel. 15
- 64.44 deg, rel. 13
- 30.90 deg, rel. 3

Crystal structure
a b c (Å): 2.9376 2.9568 14.4598
angles (deg): 90.00 90.00 90.00
Atoms (fractional coordinates):
Ga 0.0000 0.0000 0.0987
Ga 0.0000 0.0000 0.2986
Ga 0.0000 0.0000 0.7014
Ga 0.0000 0.0000 0.9013
Ni 0.5000 0.5000 0.0000
Ni 0.5000 0.5000 0.1962
Ni 0.5000 0.5000 0.3870
Ni 0.5000 0.5000 0.6130
Ni 0.5000 0.5000 0.8038
Pd 0.0000 0.0000 0.5000